# DyAl3Cl12
Computed powder XRD pattern, Cu Kα. Input: DFT lattice parameters and positions (GGA-PBE).

Principal peaks in the range 10 to 90 degrees two-theta, sorted by position:
2θ/deg, I (rel.)
11.3, 100.0
14.9, 69.8
24.1, 25.1
31.6, 24.8
33.4, 26.5
38.4, 35.0

Structure:
```
data_DyAl3Cl12
_space_group_name_H-M_alt 'P 31 1 2'
_space_group_IT_number 151
_cell_length_a 10.5061
_cell_length_b 10.5061
_cell_length_c 15.6262
_cell_angle_alpha 90.00
_cell_angle_beta 90.00
_cell_angle_gamma 120.00
loop_
_space_group_symop_operation_xyz
'x,y,z'
'-y,x-y,z+1/3'
'-x+y,-x,z+2/3'
'-y,-x,-z+2/3'
'-x+y,y,-z+1/3'
'x,x-y,-z'
loop_
_atom_site_label
_atom_site_fract_x
_atom_site_fract_y
_atom_site_fract_z
Dy1 0.1692 0.3384 0.1667
Al1 0.2028 0.6014 0.0000
Al2 0.3040 0.0905 0.2322
Cl1 0.0003 0.1712 0.0336
Cl2 0.0688 0.5306 0.1139
Cl3 0.1377 0.3143 0.5452
Cl4 0.1644 0.4969 0.3171
Cl5 0.3217 0.1160 0.8900
Cl6 0.5099 0.1736 0.2917
```